1.
Calculated powder diffraction line list of YC for copper Kα, from a structure optimized by DFT (PBE).
Intensities are scaled so that the largest is 100.

Peak list (7 most intense, 2θ = 10–90°, low angle first)
2θ/deg, I (rel.), hkl
28.7, 84, 1 0 0
41.0, 100, 1 1 0
50.8, 23, 1 1 1
59.4, 16, 2 0 0
67.3, 30, 2 1 0
74.8, 31, 2 1 1
89.0, 10, 2 2 0

Atomic structure:
abc: 3.110 3.110 3.110
angles: 90.00 90.00 90.00
Space group Pm-3m (No. 221)
One atom of each set of equivalent atoms:
Y: 0.000 0.000 0.000 (multiplicity 1)
C: 0.500 0.500 0.500 (multiplicity 1)


2.
Calculated powder diffraction line list of YC2 for copper Kα, from a structure optimized by DFT (PBE).
Intensities are scaled so that the largest is 100.

Peak list (12 most intense, 2θ = 10–90°, low angle first)
2θ/deg, I (rel.), hkl
28.2, 100, 1 0 1
28.7, 42, 0 0 2
34.4, 70, 1 1 0
45.4, 45, 1 1 2
49.5, 23, 2 0 0
50.6, 34, 1 0 3
57.9, 28, 2 1 1
58.2, 21, 2 0 2
73.4, 21, 2 1 3
81.8, 10, 1 0 5
82.8, 9, 3 1 0
89.9, 12, 3 1 2

Atomic structure:
abc: 3.685 3.685 6.211
angles: 90.00 90.00 90.00
Space group I4/mmm (No. 139)
One atom of each set of equivalent atoms:
Y: 0.000 0.000 0.000 (multiplicity 2)
C: 0.000 0.000 0.395 (multiplicity 4)


3.
Calculated powder diffraction line list of ZnC2 for copper Kα, from a structure optimized by DFT (PBE).
Intensities are scaled so that the largest is 100.

Peak list (12 most intense, 2θ = 10–90°, low angle first)
2θ/deg, I (rel.), hkl
19.4, 17, 1 1 0
23.9, 100, 1 1 1
27.6, 33, 2 0 0
39.5, 42, 2 2 0
46.7, 39, 3 1 1
48.9, 12, 2 2 2
57.1, 5, 4 0 0
62.7, 22, 3 3 1
64.5, 18, 4 2 0
71.6, 11, 4 2 2
76.7, 12, 5 1 1
89.9, 11, 5 3 1

Atomic structure:
abc: 6.457 6.457 6.457
angles: 90.00 90.00 90.00
Space group Pn-3m (No. 224, origin choice 2)
One atom of each set of equivalent atoms:
Zn: 0.000 0.000 0.000 (multiplicity 4)
C: 0.167 0.167 0.167 (multiplicity 8)


4.
Calculated powder diffraction line list of Zn3C for copper Kα, from a structure optimized by DFT (PBE).
Intensities are scaled so that the largest is 100.

Peak list (12 most intense, 2θ = 10–90°, low angle first)
2θ/deg, I (rel.), hkl
23.4, 8, 0 0 2
27.0, 24, 1 0 1
34.5, 6, 1 1 0
42.2, 100, 1 1 2
43.4, 7, 1 0 3
47.9, 17, 0 0 4
49.7, 30, 2 0 0
57.4, 6, 2 1 1
71.5, 19, 2 0 4
72.9, 9, 2 2 0
85.3, 11, 1 1 6
87.9, 21, 3 1 2

Atomic structure:
abc: 3.672 3.672 7.594
angles: 90.00 90.00 90.00
Space group I4/mmm (No. 139)
One atom of each set of equivalent atoms:
Zn: 0.000 0.000 0.000 (multiplicity 2)
Zn: 0.000 0.500 0.250 (multiplicity 4)
C: 0.000 0.000 0.500 (multiplicity 2)


5.
Calculated powder diffraction line list of Zn3C for copper Kα, from a structure optimized by DFT (PBE).
Intensities are scaled so that the largest is 100.

Peak list (10 most intense, 2θ = 10–90°, low angle first)
2θ/deg, I (rel.), hkl
24.0, 24, 1 0 0
34.2, 20, 1 1 0
42.2, 100, 1 1 1
49.2, 47, 2 0 0
55.4, 10, 2 1 0
61.2, 7, 2 1 1
72.1, 28, 2 2 0
77.2, 5, 3 0 0
82.2, 3, 3 1 0
87.2, 33, 3 1 1

Atomic structure:
abc: 3.707 3.707 3.707
angles: 90.00 90.00 90.00
Space group Pm-3m (No. 221)
One atom of each set of equivalent atoms:
Zn: 0.000 0.000 0.500 (multiplicity 3)
C: 0.500 0.500 0.500 (multiplicity 1)


6.
Calculated powder diffraction line list of Zr3Zn3C for copper Kα, from a structure optimized by DFT (PBE).
Intensities are scaled so that the largest is 100.

Peak list (12 most intense, 2θ = 10–90°, low angle first)
2θ/deg, I (rel.), hkl
31.8, 14, 3 3 1
35.8, 38, 4 2 2
38.1, 100, 3 3 3
41.6, 25, 4 4 0
44.3, 9, 4 4 2
49.2, 6, 6 2 2
53.3, 5, 5 5 1
61.9, 7, 7 3 3
64.4, 37, 6 6 0
65.9, 8, 5 5 5
77.3, 18, 9 3 3
81.5, 5, 10 2 2

Atomic structure:
abc: 12.276 12.276 12.276
angles: 90.00 90.00 90.00
Space group Fd-3m (No. 227, origin choice 2)
One atom of each set of equivalent atoms:
Zr: 0.064 0.375 0.375 (multiplicity 48)
Zn: 0.000 0.000 0.500 (multiplicity 16)
Zn: 0.044 0.044 0.706 (multiplicity 32)
C: 0.000 0.000 0.000 (multiplicity 16)


7.
Calculated powder diffraction line list of Zr10C9 for copper Kα, from a structure optimized by DFT (PBE).
Intensities are scaled so that the largest is 100.

Peak list (9 most intense, 2θ = 10–90°, low angle first)
2θ/deg, I (rel.), hkl
32.8, 100, 2 2 1
38.0, 75, 4 0 2
54.8, 24, 0 4 0
54.9, 24, 8 0 -6
65.4, 23, 2 0 6
65.5, 17, 6 2 -7
68.6, 8, 4 4 2
68.8, 8, 4 0 -8
81.3, 7, 8 4 -6

Atomic structure:
abc: 16.366 6.701 11.090
angles: 90.00 119.40 90.00
Space group C2/c (No. 15)
One atom of each set of equivalent atoms:
Zr: 0.052 0.117 0.148 (multiplicity 8)
Zr: 0.052 0.366 0.645 (multiplicity 8)
Zr: 0.149 0.127 0.947 (multiplicity 8)
Zr: 0.156 0.377 0.456 (multiplicity 8)
Zr: 0.248 0.376 0.250 (multiplicity 8)
C: 0.000 0.123 0.750 (multiplicity 4)
C: 0.098 0.127 0.551 (multiplicity 8)
C: 0.099 0.376 0.050 (multiplicity 8)
C: 0.199 0.377 0.850 (multiplicity 8)
C: 0.201 0.126 0.352 (multiplicity 8)


8.
Calculated powder diffraction line list of Zr3C for copper Kα, from a structure optimized by DFT (PBE).
Intensities are scaled so that the largest is 100.

Peak list (12 most intense, 2θ = 10–90°, low angle first)
2θ/deg, I (rel.), hkl
25.9, 36, 1 0 1
30.3, 11, 1 1 0
35.1, 25, 2 0 0
38.8, 25, 0 0 2
40.3, 100, 2 0 1
47.1, 6, 2 1 0
50.0, 6, 1 1 2
53.3, 14, 2 0 2
63.0, 16, 2 2 0
71.3, 17, 2 0 3
76.5, 18, 2 2 2
77.5, 13, 4 0 1

Atomic structure:
abc: 5.8993 5.8993 4.6397
angles: 90.00 90.00 120.00
Space group P6_3/mmc (No. 194)
One atom of each set of equivalent atoms:
Zr: 0.1754 0.3508 0.2500 (multiplicity 6)
C: 0.3333 0.6667 0.7500 (multiplicity 2)


9.
Calculated powder diffraction line list of Ca for copper Kα, from a structure optimized by DFT (PBE).
Intensities are scaled so that the largest is 100.

Peak list (12 most intense, 2θ = 10–90°, low angle first)
2θ/deg, I (rel.), hkl
27.7, 60, 1 1 0
29.7, 100, 1 0 4
39.5, 21, 2 0 0
45.3, 7, 0 0 8
50.2, 40, 2 1 4
53.9, 16, 1 1 8
61.6, 10, 2 0 8
64.6, 8, 3 1 0
65.7, 8, 3 0 4
79.4, 8, 3 2 4
82.4, 8, 3 1 8
87.2, 7, 2 1 12

Atomic structure:
abc: 4.561 4.561 16.031
angles: 90.00 90.00 90.00
Space group P4_12_12 (No. 92)
One atom of each set of equivalent atoms:
Ca: 0.007 0.483 0.188 (multiplicity 8)


10.
Calculated powder diffraction line list of Ca for copper Kα, from a structure optimized by DFT (PBE).
Intensities are scaled so that the largest is 100.

Peak list (12 most intense, 2θ = 10–90°, low angle first)
2θ/deg, I (rel.), hkl
26.3, 9, 0 2 0
26.4, 29, 1 1 0
27.7, 43, 0 0 2
29.8, 59, 0 2 1
29.9, 100, 1 1 1
38.6, 25, 1 1 2
46.4, 18, 1 3 0
46.7, 9, 2 0 0
50.4, 32, 0 2 3
55.0, 21, 1 3 2
55.2, 11, 2 0 2
56.3, 17, 2 2 1

Atomic structure:
abc: 3.892 6.786 6.430
angles: 90.00 90.00 90.00
Space group Cmcm (No. 63)
One atom of each set of equivalent atoms:
Ca: 0.000 0.159 0.250 (multiplicity 4)


11.
Calculated powder diffraction line list of Ca for copper Kα, from a structure optimized by DFT (PBE).
Intensities are scaled so that the largest is 100.

Peak list (12 most intense, 2θ = 10–90°, low angle first)
2θ/deg, I (rel.), hkl
28.3, 100, 1 0 1
30.3, 41, 1 1 0
37.4, 11, 0 0 2
43.4, 14, 2 0 0
48.8, 19, 1 1 2
52.6, 31, 2 1 1
58.6, 11, 2 0 2
62.0, 9, 1 0 3
70.5, 6, 3 0 1
78.7, 8, 2 1 3
83.6, 7, 3 1 2
86.6, 6, 3 2 1

Atomic structure:
abc: 4.170 4.170 4.814
angles: 90.00 90.00 90.00
Space group I4/mmm (No. 139)
One atom of each set of equivalent atoms:
Ca: 0.000 0.000 0.000 (multiplicity 2)


> What is the formula in the second record?

YC2